Calculated powder diffractogram
Compound: Na2PmFeO4
Radiation: Cu Kα (λ = 1.5418 Å)
Structure: a DFT-relaxed cell (PBE+U, Alexandria)
Lines closer than 0.1° are merged.

The 8 most intense peaks (2θ = 10–90°), low angle first:
two_theta	d [Å]	Rel. int.
16.69	5.313	100
30.78	2.904	42
31.88	2.807	20
32.13	2.786	51
33.74	2.656	41
38.08	2.363	81
38.50	2.338	39
55.27	1.662	49

Structural model:
Unit cell a=6.657 b=6.657 c=6.657 alpha=121.99 beta=117.19 gamma=90.76
Fractional positions:
Na1 0.000 0.000 0.000
Na2 0.500 0.000 0.000
Na3 0.500 0.000 0.500
Na4 0.500 0.500 0.500
Pm1 0.000 0.500 0.500
Pm2 0.500 0.500 0.000
Fe1 0.000 0.000 0.500
Fe2 0.000 0.500 0.000
O1 0.204 0.749 0.456
O2 0.207 0.251 0.956
O3 0.228 0.238 0.510
O4 0.228 0.718 0.990
O5 0.772 0.282 0.010
O6 0.772 0.762 0.490
O7 0.793 0.749 0.044
O8 0.796 0.251 0.544